# 1
This entry pairs a crystal structure of Er12Tm6Cd with its simulated powder diffractogram. Radiation: CuKα. Structure: a cell relaxed with PBE.
Neutral-atom scattering factors, no anomalous dispersion.

Structure:
Lattice parameters (Å, degrees): 8.3468 8.3468 8.3468 88.80 88.80 88.80
Fractional positions:
Er1 0.0377 0.9353 0.2821
Er2 0.0647 0.7179 0.9623
Er3 0.1352 0.4854 0.3232
Er4 0.2821 0.0377 0.9353
Er5 0.3232 0.1352 0.4854
Er6 0.4854 0.3232 0.1352
Er7 0.5146 0.6768 0.8648
Er8 0.6768 0.8648 0.5146
Er9 0.7179 0.9623 0.0647
Er10 0.8648 0.5145 0.6768
Er11 0.9353 0.2821 0.0377
Er12 0.9623 0.0647 0.7179
Tm1 0.2126 0.7615 0.5982
Tm2 0.2385 0.4018 0.7874
Tm3 0.4018 0.7874 0.2385
Tm4 0.5982 0.2126 0.7615
Tm5 0.7615 0.5982 0.2126
Tm6 0.7874 0.2385 0.4018
Cd1 0.5000 0.5000 0.5000

Main lines, sorted by position (2θ = 15–90°):
d = 2.833 Å, I = 41; d = 2.781 Å, I = 28; d = 2.756 Å, I = 100; d = 2.655 Å, I = 70; d = 2.622 Å, I = 31; d = 2.511 Å, I = 18; d = 1.964 Å, I = 12; d = 1.621 Å, I = 18


# 2
This entry pairs a crystal structure of Er5Tm12Cd2 with its simulated powder diffractogram. Radiation: CuKα. Structure: a cell relaxed with PBE.
Neutral-atom scattering factors, no anomalous dispersion.

Structure:
Lattice parameters (Å, degrees): 9.0237 9.0237 8.0130 90.26 90.26 60.67
Fractional positions:
Er1 0.0000 0.0000 0.0000
Er2 0.2393 0.2393 0.0851
Er3 0.3065 0.3065 0.5003
Er4 0.6935 0.6935 0.4997
Er5 0.7607 0.7607 0.9149
Tm1 0.0304 0.6588 0.2550
Tm2 0.0919 0.0919 0.3970
Tm3 0.1782 0.5728 0.8406
Tm4 0.3412 0.9696 0.7450
Tm5 0.4272 0.8218 0.1594
Tm6 0.4479 0.4479 0.1834
Tm7 0.5521 0.5521 0.8166
Tm8 0.5728 0.1782 0.8406
Tm9 0.6588 0.0304 0.2550
Tm10 0.8218 0.4272 0.1594
Tm11 0.9081 0.9081 0.6030
Tm12 0.9696 0.3412 0.7450
Cd1 0.3090 0.6910 0.5000
Cd2 0.6910 0.3090 0.5000

Main lines, sorted by position (2θ = 15–90°):
d = 2.989 Å, I = 29; d = 2.810 Å, I = 46; d = 2.795 Å, I = 54; d = 2.785 Å, I = 32; d = 2.772 Å, I = 100; d = 2.531 Å, I = 40; d = 2.490 Å, I = 24; d = 1.590 Å, I = 32


# 3
This entry pairs a crystal structure of Er5Tm4Cd with its simulated powder diffractogram. Radiation: CuKα. Structure: a cell relaxed with PBE.
Neutral-atom scattering factors, no anomalous dispersion.

Structure:
Lattice parameters (Å, degrees): 3.5013 3.5013 23.9462 90.00 90.00 90.00
Fractional positions:
Er1 0.0000 0.0000 0.0000
Er2 0.0000 0.0000 0.2064
Er3 0.0000 0.0000 0.4122
Er4 0.0000 0.0000 0.5878
Er5 0.0000 0.0000 0.7936
Tm1 0.5000 0.5000 0.1031
Tm2 0.5000 0.5000 0.3092
Tm3 0.5000 0.5000 0.6908
Tm4 0.5000 0.5000 0.8969
Cd1 0.5000 0.5000 0.5000

Main lines, sorted by position (2θ = 15–90°):
d = 2.827 Å, I = 100; d = 2.476 Å, I = 37; d = 2.395 Å, I = 13; d = 1.751 Å, I = 13; d = 1.721 Å, I = 19; d = 1.488 Å, I = 29; d = 1.453 Å, I = 8; d = 1.413 Å, I = 10


# 4
This entry pairs a crystal structure of Y2Er3Cd3 with its simulated powder diffractogram. Radiation: CuKα. Structure: a cell relaxed with PBE.
Neutral-atom scattering factors, no anomalous dispersion.

Structure:
Lattice parameters (Å, degrees): 3.7374 5.3029 22.0466 90.00 90.00 90.00
Fractional positions:
Y1 0.0000 0.0000 0.2329
Y2 0.0000 0.0000 0.7671
Y3 0.5000 0.5000 0.2671
Y4 0.5000 0.5000 0.7329
Er1 0.0000 0.0000 0.0000
Er2 0.0000 0.5000 0.1223
Er3 0.0000 0.5000 0.8777
Er4 0.5000 0.0000 0.3777
Er5 0.5000 0.0000 0.6223
Er6 0.5000 0.5000 0.5000
Cd1 0.0000 0.0000 0.5000
Cd2 0.0000 0.5000 0.3838
Cd3 0.0000 0.5000 0.6162
Cd4 0.5000 0.0000 0.1162
Cd5 0.5000 0.0000 0.8838
Cd6 0.5000 0.5000 0.0000

Main lines, sorted by position (2θ = 15–90°):
d = 2.756 Å, I = 24; d = 2.672 Å, I = 100; d = 2.651 Å, I = 26; d = 1.911 Å, I = 16; d = 1.574 Å, I = 14; d = 1.535 Å, I = 18; d = 1.527 Å, I = 9; d = 1.336 Å, I = 10


# 5
This entry pairs a crystal structure of Y6Er8Cd with its simulated powder diffractogram. Radiation: CuKα. Structure: a cell relaxed with PBE.
Neutral-atom scattering factors, no anomalous dispersion.

Structure:
Lattice parameters (Å, degrees): 9.1510 9.1510 6.6723 90.00 90.00 120.00
Fractional positions:
Y1 0.0862 0.6820 0.1041
Y2 0.3180 0.4042 0.1041
Y3 0.4042 0.0862 0.8959
Y4 0.5958 0.9138 0.1041
Y5 0.6820 0.5958 0.8959
Y6 0.9138 0.3180 0.8959
Er1 0.0127 0.3264 0.3901
Er2 0.3137 0.9873 0.3901
Er3 0.3264 0.3137 0.6099
Er4 0.3333 0.6667 0.6712
Er5 0.6667 0.3333 0.3288
Er6 0.6736 0.6863 0.3901
Er7 0.6863 0.0127 0.6099
Er8 0.9873 0.6736 0.6099
Cd1 0.0000 0.0000 0.0000

Main lines, sorted by position (2θ = 15–90°):
d = 3.773 Å, I = 21; d = 3.407 Å, I = 34; d = 2.733 Å, I = 48; d = 2.696 Å, I = 100; d = 2.642 Å, I = 84; d = 2.456 Å, I = 20; d = 1.887 Å, I = 18; d = 1.536 Å, I = 18


# 6
This entry pairs a crystal structure of Y6ErCd with its simulated powder diffractogram. Radiation: CuKα. Structure: a cell relaxed with PBE.
Neutral-atom scattering factors, no anomalous dispersion.

Structure:
Lattice parameters (Å, degrees): 6.3172 6.3172 6.3172 94.52 94.52 94.52
Fractional positions:
Y1 0.0400 0.7584 0.5504
Y2 0.2416 0.4496 0.9600
Y3 0.4496 0.9600 0.2416
Y4 0.5504 0.0400 0.7584
Y5 0.7584 0.5504 0.0400
Y6 0.9600 0.2416 0.4496
Er1 0.5000 0.5000 0.5000
Cd1 0.0000 0.0000 0.0000

Main lines, sorted by position (2θ = 15–90°):
d = 3.137 Å, I = 53; d = 2.907 Å, I = 80; d = 2.715 Å, I = 35; d = 2.679 Å, I = 35; d = 2.599 Å, I = 100; d = 2.397 Å, I = 28; d = 1.754 Å, I = 29; d = 1.667 Å, I = 18


# 7
This entry pairs a crystal structure of Er2Zn3Cd6 with its simulated powder diffractogram. Radiation: CuKα. Structure: a cell relaxed with PBE.
Neutral-atom scattering factors, no anomalous dispersion.

Structure:
Lattice parameters (Å, degrees): 7.9930 7.9930 4.4243 90.00 90.00 120.00
Fractional positions:
Er1 0.3333 0.6667 0.0000
Er2 0.6667 0.3333 0.0000
Zn1 0.0000 0.6055 0.5000
Zn2 0.3945 0.3945 0.5000
Zn3 0.6055 0.0000 0.5000
Cd1 0.0000 0.2855 0.5000
Cd2 0.0000 0.7880 0.0000
Cd3 0.2120 0.2120 0.0000
Cd4 0.2855 0.0000 0.5000
Cd5 0.7145 0.7145 0.5000
Cd6 0.7880 0.0000 0.0000

Main lines, sorted by position (2θ = 15–90°):
d = 2.966 Å, I = 100; d = 2.726 Å, I = 16; d = 2.616 Å, I = 29; d = 2.307 Å, I = 32; d = 2.252 Å, I = 77; d = 2.212 Å, I = 30; d = 1.597 Å, I = 20; d = 1.430 Å, I = 24


# 8
This entry pairs a crystal structure of Er6ZnCd3 with its simulated powder diffractogram. Radiation: CuKα. Structure: a cell relaxed with PBE.
Neutral-atom scattering factors, no anomalous dispersion.

Structure:
Lattice parameters (Å, degrees): 9.0879 5.2258 11.4779 90.00 108.47 90.00
Fractional positions:
Er1 0.0324 0.2500 0.4116
Er2 0.1683 0.7500 0.1727
Er3 0.2654 0.2500 0.0062
Er4 0.3501 0.7500 0.8196
Er5 0.3685 0.2500 0.3394
Er6 0.3966 0.2500 0.6320
Er7 0.6034 0.7500 0.3680
Er8 0.6315 0.7500 0.6606
Er9 0.6499 0.2500 0.1804
Er10 0.7346 0.7500 0.9938
Er11 0.8317 0.2500 0.8273
Er12 0.9676 0.7500 0.5884
Zn1 0.4571 0.7500 0.1002
Zn2 0.5429 0.2500 0.8998
Cd1 0.0268 0.7500 0.8767
Cd2 0.1103 0.2500 0.7217
Cd3 0.2731 0.7500 0.4736
Cd4 0.7269 0.2500 0.5264
Cd5 0.8897 0.7500 0.2783
Cd6 0.9732 0.2500 0.1233

Main lines, sorted by position (2θ = 15–90°):
d = 2.819 Å, I = 7; d = 2.723 Å, I = 15; d = 2.615 Å, I = 100; d = 2.415 Å, I = 8; d = 1.885 Å, I = 10; d = 1.816 Å, I = 7; d = 1.509 Å, I = 17; d = 1.491 Å, I = 7


# 9
This entry pairs a crystal structure of Er3ZnCd3 with its simulated powder diffractogram. Radiation: CuKα. Structure: a cell relaxed with PBE.
Neutral-atom scattering factors, no anomalous dispersion.

Structure:
Lattice parameters (Å, degrees): 3.4963 4.8181 20.2230 90.00 90.00 90.00
Fractional positions:
Er1 0.0000 0.0000 0.0000
Er2 0.0000 0.0000 0.3972
Er3 0.0000 0.5000 0.2059
Er4 0.5000 0.0000 0.7059
Er5 0.5000 0.5000 0.5000
Er6 0.5000 0.5000 0.8972
Zn1 0.0000 0.5000 0.7693
Zn2 0.5000 0.0000 0.2693
Cd1 0.0000 0.0000 0.5571
Cd2 0.0000 0.0000 0.8422
Cd3 0.0000 0.5000 0.6368
Cd4 0.5000 0.0000 0.1368
Cd5 0.5000 0.5000 0.0571
Cd6 0.5000 0.5000 0.3422

Main lines, sorted by position (2θ = 15–90°):
d = 2.725 Å, I = 100; d = 2.645 Å, I = 51; d = 2.478 Å, I = 71; d = 2.409 Å, I = 40; d = 1.781 Å, I = 31; d = 1.748 Å, I = 15; d = 1.444 Å, I = 18; d = 1.428 Å, I = 25


# 10
This entry pairs a crystal structure of ErZn3Cd with its simulated powder diffractogram. Radiation: CuKα. Structure: a cell relaxed with PBE.
Neutral-atom scattering factors, no anomalous dispersion.

Structure:
Lattice parameters (Å, degrees): 12.8102 12.8102 4.4163 90.00 90.00 164.29
Fractional positions:
Er1 0.0745 0.9255 0.7500
Er2 0.9255 0.0745 0.2500
Zn1 0.3238 0.6762 0.2500
Zn2 0.3757 0.6243 0.7500
Zn3 0.4757 0.5243 0.7500
Zn4 0.5243 0.4757 0.2500
Zn5 0.6243 0.3757 0.2500
Zn6 0.6762 0.3238 0.7500
Cd1 0.2151 0.7849 0.2500
Cd2 0.7849 0.2151 0.7500

Main lines, sorted by position (2θ = 15–90°):
d = 3.625 Å, I = 18; d = 2.610 Å, I = 100; d = 2.519 Å, I = 50; d = 2.208 Å, I = 31; d = 2.200 Å, I = 56; d = 1.751 Å, I = 16; d = 1.660 Å, I = 28; d = 1.370 Å, I = 23


# 11
This entry pairs a crystal structure of Er3ZrCd2 with its simulated powder diffractogram. Radiation: CuKα. Structure: a cell relaxed with PBE.
Neutral-atom scattering factors, no anomalous dispersion.

Structure:
Lattice parameters (Å, degrees): 3.4552 3.4552 13.0134 90.00 90.00 90.00
Fractional positions:
Er1 0.0000 0.0000 0.0000
Er2 0.0000 0.0000 0.3276
Er3 0.0000 0.0000 0.6724
Zr1 0.5000 0.5000 0.5000
Cd1 0.5000 0.5000 0.1609
Cd2 0.5000 0.5000 0.8391

Main lines, sorted by position (2θ = 15–90°):
d = 2.703 Å, I = 100; d = 2.443 Å, I = 38; d = 2.169 Å, I = 13; d = 1.728 Å, I = 13; d = 1.622 Å, I = 21; d = 1.456 Å, I = 29; d = 1.351 Å, I = 11; d = 1.334 Å, I = 10


# 12
This entry pairs a crystal structure of EuCdInGa with its simulated powder diffractogram. Radiation: CuKα. Structure: a cell relaxed with PBE.
Neutral-atom scattering factors, no anomalous dispersion.

Structure:
Lattice parameters (Å, degrees): 7.3272 7.3272 7.3272 90.00 90.00 90.00
Fractional positions:
Eu1 0.0000 0.0000 0.0000
Eu2 0.0000 0.5000 0.5000
Eu3 0.5000 0.0000 0.5000
Eu4 0.5000 0.5000 0.0000
Cd1 0.2500 0.2500 0.7500
Cd2 0.2500 0.7500 0.2500
Cd3 0.7500 0.2500 0.2500
Cd4 0.7500 0.7500 0.7500
In1 0.0000 0.0000 0.5000
In2 0.0000 0.5000 0.0000
In3 0.5000 0.0000 0.0000
In4 0.5000 0.5000 0.5000
Ga1 0.2500 0.2500 0.2500
Ga2 0.2500 0.7500 0.7500
Ga3 0.7500 0.2500 0.7500
Ga4 0.7500 0.7500 0.2500

Main lines, sorted by position (2θ = 15–90°):
d = 4.230 Å, I = 3; d = 3.664 Å, I = 4; d = 2.591 Å, I = 100; d = 2.209 Å, I = 2; d = 1.832 Å, I = 18; d = 1.496 Å, I = 35; d = 1.295 Å, I = 11; d = 1.159 Å, I = 15


# 13
This entry pairs a crystal structure of NaEuCdSb with its simulated powder diffractogram. Radiation: CuKα. Structure: a cell relaxed with PBE.
Neutral-atom scattering factors, no anomalous dispersion.

Structure:
Lattice parameters (Å, degrees): 7.7083 7.7083 7.7083 90.00 90.00 90.00
Fractional positions:
Na1 0.0000 0.0000 0.0000
Na2 0.0000 0.5000 0.5000
Na3 0.5000 0.0000 0.5000
Na4 0.5000 0.5000 0.0000
Eu1 0.0000 0.0000 0.5000
Eu2 0.0000 0.5000 0.0000
Eu3 0.5000 0.0000 0.0000
Eu4 0.5000 0.5000 0.5000
Cd1 0.2500 0.2500 0.2500
Cd2 0.2500 0.7500 0.7500
Cd3 0.7500 0.2500 0.7500
Cd4 0.7500 0.7500 0.2500
Sb1 0.2500 0.2500 0.7500
Sb2 0.2500 0.7500 0.2500
Sb3 0.7500 0.2500 0.2500
Sb4 0.7500 0.7500 0.7500

Main lines, sorted by position (2θ = 15–90°):
d = 4.450 Å, I = 22; d = 2.725 Å, I = 100; d = 2.324 Å, I = 12; d = 1.927 Å, I = 18; d = 1.768 Å, I = 5; d = 1.573 Å, I = 37; d = 1.363 Å, I = 11; d = 1.219 Å, I = 16


# 14
This entry pairs a crystal structure of Eu3CdO with its simulated powder diffractogram. Radiation: CuKα. Structure: a cell relaxed with PBE.
Neutral-atom scattering factors, no anomalous dispersion.

Structure:
Lattice parameters (Å, degrees): 5.0809 5.0809 5.0809 90.00 90.00 90.00
Fractional positions:
Eu1 0.0000 0.0000 0.5000
Eu2 0.0000 0.5000 0.0000
Eu3 0.5000 0.0000 0.0000
Cd1 0.5000 0.5000 0.5000
O1 0.0000 0.0000 0.0000

Main lines, sorted by position (2θ = 15–90°):
d = 2.933 Å, I = 100; d = 2.540 Å, I = 57; d = 1.796 Å, I = 40; d = 1.532 Å, I = 43; d = 1.467 Å, I = 13; d = 1.270 Å, I = 6; d = 1.166 Å, I = 18; d = 1.136 Å, I = 18